1.
Theoretical X-ray diffraction stick pattern
Compound: Cu2Ag7
Radiation: a wavelength of 1.5418 Å
Structure: the GGA-PBE geometry in OQMD
Lines closer than 0.1° are merged.

Top 8 peaks for 2θ from 15° to 90°, by intensity:
- 2θ = 38.40°, I = 100
- 2θ = 38.61°, I = 98
- 2θ = 44.39°, I = 65
- 2θ = 65.45°, I = 38
- 2θ = 45.50°, I = 30
- 2θ = 77.57°, I = 23
- 2θ = 77.98°, I = 22
- 2θ = 79.31°, I = 11

Atomic structure:
```
Cu2Ag7
1.0
-1.449 4.312 5.981
1.449 -4.312 5.981
1.449 4.312 -5.981
Cu Ag
2 7
Direct
0.166 0.166 0.000
0.834 0.834 0.000
0.160 0.500 0.660
0.164 0.829 0.335
0.495 0.829 0.665
0.500 0.500 0.000
0.505 0.171 0.335
0.836 0.171 0.665
0.840 0.500 0.340
```



2.
Theoretical X-ray diffraction stick pattern
Compound: La2Sm2C2Br5
Radiation: a wavelength of 1.5418 Å
Structure: the GGA-PBE geometry in OQMD
Lines closer than 0.1° are merged.

Top 8 peaks for 2θ from 15° to 90°, by intensity:
- 2θ = 31.06°, I = 100
- 2θ = 28.36°, I = 65
- 2θ = 42.96°, I = 39
- 2θ = 42.15°, I = 36
- 2θ = 30.05°, I = 22
- 2θ = 27.38°, I = 22
- 2θ = 54.57°, I = 21
- 2θ = 45.60°, I = 19

Atomic structure:
```
La2Sm2C2Br5
1.0
9.727 -1.989 0.000
9.727 1.989 0.000
-2.006 0.000 8.103
La Sm C Br
2 2 2 5
Direct
0.001 0.001 0.296
0.999 0.999 0.704
0.345 0.345 0.402
0.655 0.655 0.598
0.463 0.463 0.477
0.537 0.537 0.523
0.163 0.163 0.859
0.170 0.170 0.340
0.500 0.500 0.000
0.830 0.830 0.660
0.837 0.837 0.141
```



3.
Theoretical X-ray diffraction stick pattern
Compound: TcGeTe
Radiation: a wavelength of 1.5418 Å
Structure: the GGA-PBE geometry in OQMD
Lines closer than 0.1° are merged.

Top 8 peaks for 2θ from 15° to 90°, by intensity:
- 2θ = 39.99°, I = 100
- 2θ = 35.23°, I = 66
- 2θ = 43.19°, I = 51
- 2θ = 70.96°, I = 47
- 2θ = 47.94°, I = 31
- 2θ = 32.94°, I = 30
- 2θ = 46.15°, I = 26
- 2θ = 27.09°, I = 24

Atomic structure:
```
TcGeTe
1.0
3.095 0.000 0.000
0.000 5.157 5.691
0.000 -5.157 5.691
Tc Ge Te
3 3 3
Direct
0.000 0.000 0.000
0.000 0.192 0.506
0.000 0.506 0.192
0.500 0.188 0.784
0.500 0.473 0.473
0.500 0.784 0.188
0.500 0.196 0.196
0.500 0.531 0.884
0.500 0.884 0.531
```



4.
Theoretical X-ray diffraction stick pattern
Compound: LaErTlNi2
Radiation: a wavelength of 1.5418 Å
Structure: the GGA-PBE geometry in OQMD
Lines closer than 0.1° are merged.

Top 8 peaks for 2θ from 15° to 90°, by intensity:
- 2θ = 33.48°, I = 100
- 2θ = 34.18°, I = 70
- 2θ = 28.88°, I = 50
- 2θ = 37.99°, I = 35
- 2θ = 58.23°, I = 30
- 2θ = 45.64°, I = 22
- 2θ = 55.13°, I = 20
- 2θ = 48.79°, I = 18

Atomic structure:
```
LaErTlNi2
1.0
3.733 0.000 0.000
0.000 3.976 0.000
0.000 0.000 14.747
La Er Tl Ni
2 2 2 4
Direct
0.000 0.000 0.000
0.000 0.500 0.500
0.000 0.000 0.279
0.000 0.500 0.779
0.500 0.000 0.645
0.500 0.500 0.145
0.500 0.000 0.433
0.500 0.000 0.836
0.500 0.500 0.336
0.500 0.500 0.933
```



5.
Theoretical X-ray diffraction stick pattern
Compound: Li4ZnNi2Sn
Radiation: a wavelength of 1.5418 Å
Structure: the GGA-PBE geometry in OQMD
Lines closer than 0.1° are merged.

Top 8 peaks for 2θ from 15° to 90°, by intensity:
- 2θ = 25.79°, I = 100
- 2θ = 42.82°, I = 63
- 2θ = 42.61°, I = 32
- 2θ = 50.48°, I = 32
- 2θ = 78.14°, I = 21
- 2θ = 50.86°, I = 15
- 2θ = 68.45°, I = 12
- 2θ = 61.83°, I = 10

Atomic structure:
```
Li4ZnNi2Sn
1.0
4.244 0.000 0.000
0.000 4.244 0.000
0.000 0.000 5.944
Li Zn Ni Sn
4 1 2 1
Direct
0.000 0.000 0.000
0.000 0.500 0.229
0.500 0.000 0.771
0.500 0.500 0.500
0.500 0.500 0.000
0.000 0.500 0.759
0.500 0.000 0.241
0.000 0.000 0.500
```



6.
Theoretical X-ray diffraction stick pattern
Compound: Ba2AgSn2Hg
Radiation: a wavelength of 1.5418 Å
Structure: the GGA-PBE geometry in OQMD
Lines closer than 0.1° are merged.

Top 8 peaks for 2θ from 15° to 90°, by intensity:
- 2θ = 27.72°, I = 100
- 2θ = 36.72°, I = 54
- 2θ = 52.61°, I = 38
- 2θ = 46.62°, I = 24
- 2θ = 60.76°, I = 22
- 2θ = 36.33°, I = 18
- 2θ = 17.93°, I = 13
- 2θ = 77.86°, I = 12

Atomic structure:
```
Ba2AgSn2Hg
1.0
4.895 0.000 0.000
-2.448 4.239 0.000
0.000 0.000 9.892
Ba Ag Sn Hg
2 1 2 1
Direct
0.000 0.000 0.241
0.000 0.000 0.759
0.667 0.333 0.000
0.333 0.667 0.000
0.667 0.333 0.500
0.333 0.667 0.500
```



7.
Theoretical X-ray diffraction stick pattern
Compound: Na3NdSm2Pb3
Radiation: a wavelength of 1.5418 Å
Structure: the GGA-PBE geometry in OQMD
Lines closer than 0.1° are merged.

Top 8 peaks for 2θ from 15° to 90°, by intensity:
- 2θ = 31.76°, I = 100
- 2θ = 34.09°, I = 83
- 2θ = 21.18°, I = 44
- 2θ = 59.57°, I = 34
- 2θ = 47.28°, I = 33
- 2θ = 62.73°, I = 28
- 2θ = 25.63°, I = 21
- 2θ = 61.02°, I = 16

Atomic structure:
```
Na3NdSm2Pb3
1.0
5.260 0.000 0.000
-2.630 4.555 0.000
0.000 0.000 10.755
Na Nd Sm Pb
3 1 2 3
Direct
0.000 0.000 0.000
0.333 0.667 0.313
0.333 0.667 0.687
0.667 0.333 0.500
0.667 0.333 0.165
0.667 0.333 0.835
0.000 0.000 0.338
0.000 0.000 0.662
0.333 0.667 0.000
```



8.
Theoretical X-ray diffraction stick pattern
Compound: NdAl7Au3
Radiation: a wavelength of 1.5418 Å
Structure: the GGA-PBE geometry in OQMD
Lines closer than 0.1° are merged.

Top 8 peaks for 2θ from 15° to 90°, by intensity:
- 2θ = 25.21°, I = 100
- 2θ = 46.34°, I = 44
- 2θ = 38.23°, I = 36
- 2θ = 33.54°, I = 33
- 2θ = 44.38°, I = 32
- 2θ = 66.10°, I = 28
- 2θ = 61.59°, I = 17
- 2θ = 51.73°, I = 13

Atomic structure:
```
NdAl7Au3
1.0
4.078 2.354 7.074
-4.078 2.354 7.074
0.000 -4.708 7.074
Nd Al Au
2 14 6
Direct
0.000 0.000 0.000
0.500 0.500 0.500
0.069 0.853 0.668
0.147 0.332 0.931
0.168 0.353 0.569
0.250 0.250 0.250
0.332 0.931 0.147
0.353 0.569 0.168
0.431 0.832 0.647
0.569 0.168 0.353
0.647 0.431 0.832
0.668 0.069 0.853
0.750 0.750 0.750
0.832 0.647 0.431
0.853 0.668 0.069
0.931 0.147 0.332
0.071 0.750 0.429
0.250 0.571 0.929
0.429 0.071 0.750
0.571 0.929 0.250
0.750 0.429 0.071
0.929 0.250 0.571
```



9.
Theoretical X-ray diffraction stick pattern
Compound: ErSn3
Radiation: a wavelength of 1.5418 Å
Structure: the GGA-PBE geometry in OQMD
Lines closer than 0.1° are merged.

Top 8 peaks for 2θ from 15° to 90°, by intensity:
- 2θ = 32.58°, I = 100
- 2θ = 34.99°, I = 69
- 2θ = 36.02°, I = 59
- 2θ = 66.21°, I = 51
- 2θ = 55.91°, I = 37
- 2θ = 39.73°, I = 27
- 2θ = 33.28°, I = 27
- 2θ = 58.96°, I = 16

Atomic structure:
```
ErSn3
1.0
3.289 1.899 13.755
-3.289 1.899 13.755
0.000 -3.798 13.755
Er Sn
5 15
Direct
0.000 0.000 0.000
0.136 0.136 0.136
0.272 0.272 0.272
0.536 0.536 0.536
0.736 0.736 0.736
0.038 0.038 0.534
0.038 0.534 0.038
0.136 0.636 0.636
0.234 0.234 0.739
0.234 0.739 0.234
0.273 0.767 0.767
0.505 0.505 0.999
0.505 0.999 0.505
0.534 0.038 0.038
0.636 0.136 0.636
0.636 0.636 0.136
0.739 0.234 0.234
0.767 0.273 0.767
0.767 0.767 0.273
0.999 0.505 0.505
```